Simulated powder diffractogram of Li2MnCoO4 for copper Kα, from a crystal structure in the Materials Project, relaxed with GGA+U.
Peak positions follow from Bragg's law for the DFT cell and can differ from measured ones.

Structure:
```
Li2MnCoO4
1.0
5.274 0.000 0.000
0.000 2.876 0.000
-1.369 0.000 9.774
Li Mn Co O
4 2 2 8
direct
0.126 0.250 0.122
0.374 0.750 0.371
0.626 0.250 0.629
0.874 0.750 0.878
0.137 0.750 0.630
0.863 0.250 0.370
0.387 0.250 0.879
0.613 0.750 0.121
0.022 0.250 0.742
0.236 0.250 0.512
0.264 0.750 0.998
0.498 0.750 0.755
0.502 0.250 0.245
0.736 0.250 0.002
0.764 0.750 0.488
0.978 0.750 0.258
```

The 12 most intense peaks (10° ≤ 2θ ≤ 90°), in order of rising 2θ:
18.11 deg, I = 100, hkl 1 0 -1
34.40 deg, I = 17, hkl 1 0 3
36.24 deg, I = 26, hkl 0 1 2
36.74 deg, I = 10, hkl 2 0 -2
37.45 deg, I = 9, hkl 1 1 1
41.40 deg, I = 30, hkl 2 0 2
43.93 deg, I = 50, hkl 1 1 -3
46.99 deg, I = 11, hkl 2 1 0
57.68 deg, I = 9, hkl 2 1 -4
61.89 deg, I = 15, hkl 3 1 -1
62.00 deg, I = 15, hkl 1 1 5
62.92 deg, I = 7, hkl 2 0 -6